[1]
The following is a calculated X-ray diffraction stick pattern of Rb2UPt3Se6. It was derived from a cell relaxed with GGA-PBE, using Cu Kα X-rays.

Cell and atoms:
```
Rb2UPt3Se6
1.0
0.000 7.762 8.836
5.079 0.000 8.836
5.079 7.762 0.000
Rb U Pt Se
4 2 6 12
Cartesian
5.079 2.745 8.836
2.539 3.881 4.418
7.618 11.642 13.254
5.079 12.779 8.836
5.079 7.762 5.862
5.079 7.762 11.811
8.447 7.762 5.945
8.447 7.762 11.727
6.736 7.762 8.836
3.421 7.762 8.836
1.710 7.762 5.945
1.710 7.762 11.727
5.079 6.050 3.559
6.996 6.030 7.052
6.996 6.030 10.620
5.079 9.473 3.559
6.996 9.493 7.052
3.161 6.030 7.052
6.996 9.493 10.620
3.161 6.030 10.620
5.079 6.050 14.114
3.161 9.493 7.052
3.161 9.493 10.620
5.079 9.473 14.114
```

Largest 10 diffraction maxima, sorted by position, 15 to 90 degrees two-theta:
2θ/deg  intensity
23.20  51
31.00  84
31.95  45
32.51  53
35.15  100
38.37  42
42.38  97
46.77  56
51.66  29
54.33  45


[2]
The following is a calculated X-ray diffraction stick pattern of Pr2O3. It was derived from a cell relaxed with GGA-PBE, using Cu Kα X-rays.

Cell and atoms:
```
Pr2O3
1.0
-5.645 5.645 5.645
5.645 -5.645 5.645
5.645 5.645 -5.645
Pr O
16 24
Cartesian
2.822 2.822 -2.822
2.822 -2.822 2.822
8.467 0.344 0.000
5.645 -2.822 5.301
5.301 5.645 -2.822
5.301 0.000 2.822
5.645 2.822 0.344
2.822 5.301 0.000
-2.822 2.822 2.822
2.822 2.822 2.822
2.822 0.344 5.645
0.000 2.822 5.301
0.344 5.645 2.822
0.344 0.000 8.467
0.000 8.467 0.344
-2.822 5.301 5.645
1.685 1.372 -1.237
6.882 1.685 -1.372
1.372 -1.237 1.685
4.408 3.960 -1.372
3.960 1.372 1.237
7.017 -1.237 3.960
7.017 1.237 1.685
3.960 -1.372 4.408
-1.237 1.685 1.372
1.372 1.237 3.960
1.237 3.960 1.372
1.685 -1.372 6.882
3.960 7.017 -1.237
4.408 1.685 4.273
4.273 4.408 1.685
6.882 3.960 4.273
1.685 7.017 1.237
-1.372 4.408 3.960
-1.372 6.882 1.685
1.685 4.273 4.408
1.237 1.685 7.017
4.273 6.882 3.960
-1.237 3.960 7.017
3.960 4.273 6.882
```

Largest 10 diffraction maxima, sorted by position, 15 to 90 degrees two-theta:
2θ/deg  intensity
19.26  9
27.37  100
31.70  33
40.75  7
45.45  42
53.87  34
56.47  7
73.07  10
75.29  7
83.99  7


[3]
The following is a calculated X-ray diffraction stick pattern of SmCo4Ag. It was derived from a cell relaxed with GGA-PBE, using Cu Kα X-rays.

Cell and atoms:
```
SmCo4Ag
1.0
5.104 0.000 0.000
-2.552 4.421 0.000
0.000 0.000 4.140
Sm Co Ag
1 4 1
Cartesian
0.000 0.000 0.000
2.552 0.078 2.070
1.343 2.171 2.070
2.552 1.474 0.000
3.761 2.171 2.070
0.000 2.947 0.000
```

Largest 10 diffraction maxima, sorted by position, 15 to 90 degrees two-theta:
2θ/deg  intensity
29.56  32
35.16  38
40.83  22
41.57  100
43.73  25
57.30  18
61.36  13
67.47  23
74.33  14
78.84  14